Structure and theoretical PXRD pattern of Li5Fe3O2F10 (a crystal structure in Alexandria, relaxed with GGA+U; Cu Kα (λ = 1.5418 Å)).
Kinematic intensities with the Lorentz-polarization factor, no thermal factor.

```
data_Li5Fe3O2F10
_chemical_formula_sum 'Li5 Fe3 O2 F10'
_symmetry_space_group_name_H-M 'P 1'
_symmetry_Int_Tables_number 1
_symmetry_space_group_name_Hall 'P 1'
_cell_length_a 5.306
_cell_length_b 5.357
_cell_length_c 9.245
_cell_angle_alpha 86.77
_cell_angle_beta 89.65
_cell_angle_gamma 67.07
loop_
_atom_site_label
_atom_site_fract_x
_atom_site_fract_y
_atom_site_fract_z
Li1 0.000 0.000 0.000
Li2 0.051 0.485 0.554
Li3 0.379 0.603 0.806
Li4 0.780 0.611 0.949
Li5 0.937 0.079 0.415
Fe1 0.174 0.550 0.220
Fe2 0.485 0.913 0.203
Fe3 0.713 0.064 0.712
O1 0.261 0.802 0.325
O2 0.835 0.780 0.122
F1 0.006 0.769 0.831
F2 0.194 0.221 0.086
F3 0.379 0.671 0.057
F4 0.397 0.383 0.649
F5 0.499 0.887 0.811
F6 0.534 0.222 0.289
F7 0.724 0.293 0.880
F8 0.781 0.847 0.546
F9 0.966 0.193 0.619
F10 0.994 0.407 0.363
```

Main lines, by angle (10 to 90 degrees two-theta):
hkl  2θ/deg  I/Imax
0 0 2  19.23  100.0
0 1 1  19.96  75.7
1 0 -1  20.42  35.4
1 0 1  20.72  74.3
1 1 -1  22.54  27.9
1 1 -2  28.41  25.7
1 -1 0  30.38  33.2
0 1 3  33.42  20.7
1 -1 2  36.97  45.3
1 2 3  43.84  36.0
2 1 -3  45.61  26.9
2 -1 1  49.01  30.8